No. 1
This entry pairs a crystal structure of Pu3P2 with its calculated XRD peak list. Radiation: CuKα. Structure: a DFT-relaxed cell (PBE, Alexandria).
No peak broadening, texture or thermal motion is included.

Largest 10 diffraction maxima, by angle, 10° ≤ 2θ ≤ 90°:
Position (°2θ), I (rel.)
23.4, 75
25.0, 40
27.3, 36
29.3, 52
30.6, 79
35.4, 36
36.1, 48
36.3, 100
38.7, 36
40.6, 28

Structure:
Unit cell a=11.397 b=3.616 c=10.188 alpha=90.00 beta=90.00 gamma=90.00
Space group Pnma (No. 62)
Unique sites:
Pu (0.023, 0.250, 0.073)
Pu (0.109, 0.750, 0.557)
Pu (0.244, 0.250, 0.785)
P (0.006, 0.750, 0.280)
P (0.209, 0.750, 0.999)

No. 2
This entry pairs a crystal structure of Sr2ZrRu with its calculated XRD peak list. Radiation: CuKα. Structure: a DFT-relaxed cell (PBE, Alexandria).
No peak broadening, texture or thermal motion is included.

Largest 10 diffraction maxima, by angle, 10° ≤ 2θ ≤ 90°:
Position (°2θ), I (rel.)
17.0, 19
28.4, 27
30.2, 44
32.7, 100
34.2, 14
43.4, 16
49.2, 15
55.2, 22
57.5, 13
58.8, 17

Structure:
Unit cell a=3.704 b=5.923 c=11.131 alpha=90.00 beta=90.00 gamma=90.00
Space group Imm2 (No. 44)
Unique sites:
Sr (0.000, 0.000, 0.000)
Sr (0.000, 0.500, 0.192)
Zr (0.000, 0.500, 0.811)
Ru (0.000, 0.000, 0.459)